# 1
This entry pairs a crystal structure of Pm2PrI with its computed powder XRD pattern. Radiation: CuKα. Structure: a crystal structure in Alexandria, relaxed with GGA-PBE.

Principal peaks in the range 10 to 80 degrees two-theta, low angle first:
d (Å), I (rel.), (hkl)
3.068, 100, 1 0 4
2.694, 22, 0 0 12
2.564, 59, 0 1 8
1.915, 26, 1 1 0
1.726, 16, 1 0 16
1.624, 15, 0 2 4
1.561, 25, 1 1 12
1.534, 12, 2 0 8
1.453, 8, 0 1 20
1.239, 12, 2 1 4

Structure:
Cell lengths 3.8296, 3.8296, 32.3320 Å; angles 90.00, 90.00, 120.00 degrees
Space group R-3m (No. 166, hexagonal axes)
Symmetry-distinct sites (fractional):
Pm1 0.0000 0.0000 0.2443
Pr1 0.0000 0.0000 0.0000
I1 0.0000 0.0000 0.5000



# 2
This entry pairs a crystal structure of Rb2LiHf3O8 with its computed powder XRD pattern. Radiation: CuKα. Structure: a crystal structure in Alexandria, relaxed with GGA-PBE.

Principal peaks in the range 10 to 80 degrees two-theta, low angle first:
d (Å), I (rel.), (hkl)
6.874, 100, 0 0 3
5.391, 44, 1 0 1
3.437, 37, 0 0 6
3.318, 23, 0 1 5
2.920, 44, 1 1 3
2.768, 38, 0 2 1
2.696, 37, 2 0 2
2.456, 48, 0 2 4
2.027, 29, 0 2 7
1.894, 25, 2 0 8

Structure:
Cell lengths 6.4498, 6.4498, 20.6216 Å; angles 90.00, 90.00, 120.00 degrees
Space group R3m (No. 160, hexagonal axes)
Symmetry-distinct sites (fractional):
Rb1 0.0000 0.0000 0.0000
Rb2 0.0000 0.0000 0.3619
Li1 0.0000 0.0000 0.8148
Hf1 0.1672 0.3345 0.1922
O1 0.0000 0.0000 0.1394
O2 0.0000 0.0000 0.5763
O3 0.0175 0.5088 0.1418
O4 0.1864 0.3729 0.9127



# 3
This entry pairs a crystal structure of Li3CeTe2N with its computed powder XRD pattern. Radiation: CuKα. Structure: a crystal structure in Alexandria, relaxed with GGA-PBE.

Principal peaks in the range 10 to 80 degrees two-theta, low angle first:
d (Å), I (rel.), (hkl)
4.246, 91, 1 0 1
3.332, 100, 0 1 3
2.900, 42, 1 1 2
2.504, 21, 0 0 6
2.411, 73, 1 1 4
2.232, 21, 0 2 0
2.214, 20, 2 0 0
1.976, 24, 1 2 1
1.931, 21, 1 0 7
1.844, 36, 2 1 3

Structure:
Cell lengths 4.4270, 4.4647, 15.0219 Å; angles 90.00, 90.00, 90.00 degrees
Space group Immm (No. 71)
Symmetry-distinct sites (fractional):
Li1 0.0000 0.0000 0.0000
Li2 0.0000 0.5000 0.1574
Ce1 0.0000 0.0000 0.5000
Te1 0.0000 0.5000 0.3526
N1 0.0000 0.5000 0.0000



# 4
This entry pairs a crystal structure of TbHoEr2Te6 with its computed powder XRD pattern. Radiation: CuKα. Structure: a crystal structure in Alexandria, relaxed with GGA-PBE.

Principal peaks in the range 10 to 80 degrees two-theta, low angle first:
d (Å), I (rel.), (hkl)
5.608, 35, 0 1 2
4.116, 27, 1 0 4
3.360, 86, 2 -1 3
2.804, 19, 0 2 4
2.583, 100, 2 -1 6
2.211, 62, 3 0 0
1.992, 20, 1 1 9
1.680, 27, 2 2 6
1.372, 21, 3 0 12
1.338, 24, 5 -1 6

Structure:
Cell lengths 7.6602, 7.6602, 20.9917 Å; angles 90.00, 90.00, 120.00 degrees
Space group R3 (No. 146, hexagonal axes)
Symmetry-distinct sites (fractional):
Tb1 0.0000 0.0000 0.0000
Ho1 0.0000 0.0000 0.4994
Er1 0.0000 0.0000 0.3142
Er2 0.0000 0.0000 0.8147
Te1 0.0027 0.3166 0.9060
Te2 0.0053 0.6894 0.4064



# 5
This entry pairs a crystal structure of Ac2LaInRu with its computed powder XRD pattern. Radiation: CuKα. Structure: a crystal structure in Alexandria, relaxed with GGA-PBE.

Principal peaks in the range 10 to 80 degrees two-theta, low angle first:
d (Å), I (rel.), (hkl)
5.433, 20, 0 0 1
3.246, 100, 1 1 1
2.862, 65, 2 0 0
2.717, 28, 0 0 2
2.023, 24, 2 2 0
1.970, 44, 2 0 2
1.717, 33, 3 1 1
1.653, 16, 1 1 3
1.623, 24, 2 2 2
1.280, 25, 4 2 0

Structure:
Cell lengths 5.7231, 5.7231, 5.4334 Å; angles 90.00, 90.00, 90.00 degrees
Space group P4mm (No. 99)
Symmetry-distinct sites (fractional):
Ac1 0.0000 0.5000 0.0000
La1 0.0000 0.0000 0.5065
In1 0.5000 0.5000 0.5142
Ru1 0.0000 0.0000 0.0420



# 6
This entry pairs a crystal structure of BaRu2N2 with its computed powder XRD pattern. Radiation: CuKα. Structure: a crystal structure in Alexandria, relaxed with GGA-PBE.

Principal peaks in the range 10 to 80 degrees two-theta, low angle first:
d (Å), I (rel.), (hkl)
4.863, 15, 0 0 2
3.351, 100, 1 1 2
2.801, 44, 2 1 1
2.714, 36, 2 0 2
2.431, 27, 0 0 4
2.172, 22, 2 1 3
2.068, 34, 3 1 0
1.575, 28, 3 1 4
1.550, 23, 4 0 2
1.469, 16, 3 3 2

Structure:
Cell lengths 6.5399, 6.5399, 9.7254 Å; angles 90.00, 90.00, 90.00 degrees
Space group I4/mcm (No. 140)
Symmetry-distinct sites (fractional):
Ba1 0.0000 0.0000 0.2500
Ru1 0.1396 0.3604 0.0000
N1 0.1555 0.3445 0.5000



# 7
This entry pairs a crystal structure of K2Li3Cd12Ag with its computed powder XRD pattern. Radiation: CuKα. Structure: a crystal structure in Alexandria, relaxed with GGA-PBE.

Principal peaks in the range 10 to 80 degrees two-theta, low angle first:
d (Å), I (rel.), (hkl)
5.944, 56, 0 1 2
5.168, 43, 0 0 6
4.952, 39, 1 0 4
2.972, 100, 0 2 4
2.604, 34, 0 2 7
2.476, 34, 2 0 8
2.403, 41, 1 2 2
2.321, 40, 2 1 4
2.234, 42, 0 2 10
1.981, 44, 3 0 6

Structure:
Cell lengths 7.4318, 7.4318, 31.0094 Å; angles 90.00, 90.00, 120.00 degrees
Space group R-3m (No. 166, hexagonal axes)
Symmetry-distinct sites (fractional):
K1 0.0000 0.0000 0.1514
Li1 0.0000 0.5000 0.0000
Cd1 0.0546 0.5273 0.0944
Cd2 0.0666 0.5333 0.6204
Ag1 0.0000 0.0000 0.5000



# 8
This entry pairs a crystal structure of Co4RhS8 with its computed powder XRD pattern. Radiation: CuKα. Structure: a crystal structure in Alexandria, relaxed with GGA-PBE.

Principal peaks in the range 10 to 80 degrees two-theta, low angle first:
d (Å), I (rel.), (hkl)
5.167, 93, 2 0 -1
5.057, 59, 1 1 -1
2.910, 87, 0 2 1
2.549, 57, 2 0 1
2.529, 97, 2 2 -2
1.945, 54, 4 0 0
1.940, 55, 4 2 -1
1.925, 100, 4 2 -3
1.683, 40, 0 4 0
1.679, 80, 0 2 3

Structure:
Cell lengths 10.3344, 6.7304, 7.7170 Å; angles 90.00, 131.15, 90.00 degrees
Space group C2/m (No. 12)
Symmetry-distinct sites (fractional):
Co1 0.0000 0.2333 0.0000
Co2 0.2288 0.0000 0.4902
Rh1 0.0000 0.5000 0.5000
S1 0.0178 0.5000 0.8276
S2 0.0373 0.0000 0.8357
S3 0.2233 0.2559 0.6698



# 9
This entry pairs a crystal structure of Ac3Ge2Pd with its computed powder XRD pattern. Radiation: CuKα. Structure: a crystal structure in Alexandria, relaxed with GGA-PBE.

Principal peaks in the range 10 to 80 degrees two-theta, low angle first:
d (Å), I (rel.), (hkl)
3.561, 58, 2 1 1
3.483, 48, 3 0 2
3.198, 60, 2 1 2
3.102, 100, 0 1 3
3.048, 80, 1 0 4
3.009, 56, 3 1 1
2.778, 84, 3 1 2
2.540, 58, 4 1 1
2.400, 50, 2 1 4
2.303, 64, 0 2 0

Structure:
Cell lengths 12.5423, 4.6069, 12.5890 Å; angles 90.00, 90.00, 90.00 degrees
Space group Pnma (No. 62)
Symmetry-distinct sites (fractional):
Ac1 0.0575 0.2500 0.1287
Ac2 0.1189 0.7500 0.5553
Ac3 0.2154 0.2500 0.8076
Ge1 0.0202 0.7500 0.3128
Ge2 0.1923 0.7500 0.9962
Pd1 0.1261 0.2500 0.3712



# 10
This entry pairs a crystal structure of YNbClO4 with its computed powder XRD pattern. Radiation: CuKα. Structure: a crystal structure in Alexandria, relaxed with GGA-PBE.

Principal peaks in the range 10 to 80 degrees two-theta, low angle first:
d (Å), I (rel.), (hkl)
6.842, 50, 0 0 1
5.849, 60, 1 1 0
5.759, 44, 2 0 0
3.421, 24, 0 0 2
3.395, 84, 0 2 0
3.342, 100, 3 1 0
3.130, 68, 1 1 -2
2.776, 37, 3 1 1
2.699, 26, 3 1 -2
1.950, 28, 3 3 0

Structure:
Cell lengths 11.8884, 6.7897, 7.0623 Å; angles 90.00, 104.34, 90.00 degrees
Space group C2/m (No. 12)
Symmetry-distinct sites (fractional):
Y1 0.2130 0.0000 0.3576
Nb1 0.1389 0.0000 0.7762
Cl1 0.0214 0.5000 0.3723
O1 0.0230 0.0000 0.2739
O2 0.1950 0.2045 0.6408
O3 0.2075 0.0000 0.0408